Starting from a cell relaxed with PBE, the X-ray powder pattern of Zr3Ag3S8 was calculated for Cu Kα X-rays.
Kinematic intensities with the Lorentz-polarization factor, no thermal factor.

Largest 6 diffraction maxima, most intense first, 15° ≤ 2θ ≤ 90°:
two_theta, Rel. int., hkl
27.34, 100.0, 1 1 3
47.15, 61.0, 2 0 8
47.82, 60.1, 2 2 0
27.07, 51.6, 0 1 5
33.08, 42.7, 0 2 4
27.48, 38.7, 0 2 1

Cell and atoms:
```
data_Zr3Ag3S8
_chemical_formula_sum 'Zr9 Ag9 S24'
_cell_length_a 7.6076
_cell_length_b 7.6076
_cell_length_c 19.0147
_cell_angle_alpha 90.00
_cell_angle_beta 90.00
_cell_angle_gamma 120.00
_space_group_name_H-M_alt 'R -3 m'
_space_group_IT_number 166
_space_group_name_Hall '-R 3 2"'
loop_
_atom_site_label
_atom_site_type_symbol
_atom_site_fract_x
_atom_site_fract_y
_atom_site_fract_z
Zr1 Zr 0.0000 0.5000 0.0000
Ag1 Ag 0.0000 0.0000 0.1225
Ag2 Ag 0.0000 0.0000 0.5000
S1 S 0.0000 0.0000 0.2574
S2 S 0.0222 0.5111 0.2576
```


Starting from a cell relaxed with PBE, the X-ray powder pattern of ZrAg3S was calculated for Cu Kα X-rays.
Kinematic intensities with the Lorentz-polarization factor, no thermal factor.

Largest 6 diffraction maxima, most intense first, 15° ≤ 2θ ≤ 90°:
two_theta, Rel. int., hkl
32.50, 100.0, 1 1 1
37.71, 67.4, 2 0 0
54.39, 44.3, 2 2 0
64.81, 38.0, 3 1 1
89.55, 16.1, 3 3 1
68.08, 14.6, 2 2 2

Cell and atoms:
```
data_ZrAg3S
_chemical_formula_sum 'Zr1 Ag3 S1'
_cell_length_a 4.771
_cell_length_b 4.771
_cell_length_c 4.771
_cell_angle_alpha 90.00
_cell_angle_beta 90.00
_cell_angle_gamma 90.00
_space_group_name_H-M_alt 'P m -3 m'
_space_group_IT_number 221
_space_group_name_Hall '-P 4 2 3'
loop_
_atom_site_label
_atom_site_type_symbol
_atom_site_fract_x
_atom_site_fract_y
_atom_site_fract_z
Zr1 Zr 0.000 0.000 0.000
Ag1 Ag 0.000 0.500 0.500
S1 S 0.500 0.500 0.500
```


Starting from a cell relaxed with PBE, the X-ray powder pattern of Zr4Ag2S9 was calculated for Cu Kα X-rays.
Kinematic intensities with the Lorentz-polarization factor, no thermal factor.

Largest 6 diffraction maxima, most intense first, 15° ≤ 2θ ≤ 90°:
two_theta, Rel. int., hkl
40.62, 100.0, 3 1 6
25.13, 88.6, 1 1 -4
27.39, 72.0, 3 1 0
48.41, 52.2, 6 0 0
18.50, 46.1, 1 1 2
37.51, 39.3, 4 0 -4

Cell and atoms:
```
data_Zr4Ag2S9
_chemical_formula_sum 'Zr16 Ag8 S36'
_cell_length_a 11.284
_cell_length_b 6.512
_cell_length_c 18.220
_cell_angle_alpha 90.00
_cell_angle_beta 90.01
_cell_angle_gamma 90.00
_space_group_name_H-M_alt 'C 1 2/c 1'
_space_group_IT_number 15
loop_
_space_group_symop_operation_xyz
'x,y,z'
'-x,-y,-z'
'-x,y,-z+1/2'
'x,-y,z+1/2'
'x+1/2,y+1/2,z'
'-x+1/2,-y+1/2,-z'
'-x+1/2,y+1/2,-z+1/2'
'x+1/2,-y+1/2,z+1/2'
loop_
_atom_site_label
_atom_site_type_symbol
_atom_site_fract_x
_atom_site_fract_y
_atom_site_fract_z
Zr1 Zr 0.166 0.000 0.008
Zr2 Zr 0.167 0.002 0.316
Ag1 Ag 0.000 0.499 0.149
S1 S 0.000 0.168 0.250
S2 S 0.008 0.133 0.916
S3 S 0.166 0.333 0.750
S4 S 0.180 0.305 0.417
S5 S 0.187 0.328 0.084
```